No. 1
Starting from a crystal structure in Alexandria, relaxed with PBE, the powder X-ray diffraction pattern of Sr2PmO3 was calculated for Cu Ka.

Most intense lines, 15° ≤ 2θ ≤ 90°, most intense first:
2theta	I (rel.)
35.0	100
30.2	80
30.3	78
50.4	68
35.1	50
60.0	48
59.8	25
84.8	22

Cell and atoms:
```
Sr2PmO3
1.0
-1.8058 2.5548 5.4536
1.8058 -2.5548 5.4536
1.8058 2.5548 -5.4536
Sr Pm O
2 1 3
Cartesian
0.0000 0.0000 1.8298
0.0000 0.0000 9.0773
0.0000 0.0000 5.4536
1.8058 0.0000 0.0000
1.8058 0.0000 3.7711
0.0000 2.5548 1.6825
```



No. 2
Starting from a crystal structure in Alexandria, relaxed with PBE, the powder X-ray diffraction pattern of Yb2S3 was calculated for Cu Ka.

Most intense lines, 15° ≤ 2θ ≤ 90°, most intense first:
2theta	I (rel.)
24.8	100
26.9	63
36.9	50
33.9	38
43.7	37
45.0	37
50.9	20
58.5	14

Cell and atoms:
```
Yb2S3
1.0
7.1729 0.0000 0.0000
-3.5865 6.2119 0.0000
0.0000 0.0000 15.6997
Yb S
12 18
Cartesian
0.0000 0.0000 0.0000
0.0000 0.0000 3.7070
0.0000 0.0000 7.8499
0.0000 0.0000 11.5569
0.0000 4.1413 2.5293
0.0000 4.1413 6.1630
0.0000 4.1413 10.3792
0.0000 4.1413 14.0129
3.5865 2.0706 2.5293
3.5865 2.0706 6.1630
3.5865 2.0706 10.3792
3.5865 2.0706 14.0129
-1.0101 1.7495 1.7431
-1.3048 2.2599 12.4002
-1.7306 2.9974 7.9997
-1.8559 3.2145 0.1498
-2.2817 3.9520 4.5503
-2.5764 4.4624 9.5930
2.0202 0.0000 1.7431
1.0101 1.7495 9.5930
2.6095 0.0000 12.4002
1.3048 2.2599 4.5503
3.4611 0.0000 7.9997
1.7306 2.9974 0.1498
3.7118 0.0000 0.1498
1.8559 3.2145 7.9997
4.5634 0.0000 4.5503
2.2817 3.9520 12.4002
5.1527 0.0000 9.5930
2.5764 4.4624 1.7431
```



What did the first record say?
Starting from a crystal structure in Alexandria, relaxed with PBE, the powder X-ray diffraction pattern of Sr2PmO3 was calculated for Cu Ka.

Most intense lines, 15° ≤ 2θ ≤ 90°, most intense first:
2theta	I (rel.)
35.0	100
30.2	80
30.3	78
50.4	68
35.1	50
60.0	48
59.8	25
84.8	22

Cell and atoms:
```
Sr2PmO3
1.0
-1.8058 2.5548 5.4536
1.8058 -2.5548 5.4536
1.8058 2.5548 -5.4536
Sr Pm O
2 1 3
Cartesian
0.0000 0.0000 1.8298
0.0000 0.0000 9.0773
0.0000 0.0000 5.4536
1.8058 0.0000 0.0000
1.8058 0.0000 3.7711
0.0000 2.5548 1.6825
```



- What is the formula in the first record?
  Sr2PmO3